No. 1
Starting from a cell relaxed with GGA-PBE, the X-ray diffraction stick pattern of Li2SiGeAu2 was simulated for Cu Kα (λ = 1.5418 Å).

Cell and atoms:
Unit cell a=9.7843 b=4.3004 c=6.5107 alpha=90.00 beta=130.37 gamma=90.00
Space group Cm (No. 8)
Asymmetric unit:
Li 0.0000 0.0000 0.0000 [2 per cell]
Li 0.0814 0.0000 0.5812 [2 per cell]
Si 0.2162 0.5000 0.0335 [2 per cell]
Ge 0.2109 0.5000 0.4069 [2 per cell]
Au 0.3718 0.0000 0.1447 [2 per cell]
Au 0.3994 0.0000 0.6355 [2 per cell]

Most intense lines, 10° ≤ 2θ ≤ 90°, in order of falling intensity:
two_theta  d (Å)  I_rel  h k l
23.9  3.726  100  1 1 0
42.0  2.151  49  0 2 0
27.4  3.254  41  2 0 -2
36.4  2.465  31  1 1 -2
36.9  2.437  20  3 1 -2
50.4  1.812  16  1 1 2
50.9  1.794  15  2 2 -2
48.9  1.863  15  4 0 0
51.4  1.778  13  5 1 -2
37.1  2.424  12  4 0 -2
66.4  1.408  11  1 3 0
36.2  2.480  11  0 0 2

No. 2
Starting from a cell relaxed with GGA-PBE, the X-ray diffraction stick pattern of Co3W10 was simulated for Cu Kα (λ = 1.5418 Å).

Cell and atoms:
Unit cell a=5.1137 b=5.1137 c=26.7683 alpha=90.00 beta=90.00 gamma=120.00
Space group R-3m (No. 166, hexagonal axes)
Asymmetric unit:
Co 0.0000 0.0000 0.0000 [3 per cell]
Co 0.0000 0.0000 0.4551 [6 per cell]
W 0.0000 0.0000 0.1662 [6 per cell]
W 0.0000 0.0000 0.3499 [6 per cell]
W 0.0026 0.5013 0.4106 [18 per cell]

Most intense lines, 10° ≤ 2θ ≤ 90°, in order of falling intensity:
two_theta  d (Å)  I_rel  h k l
40.7  2.218  100  1 1 6
44.3  2.046  55  2 0 5
40.9  2.207  45  0 2 1
43.0  2.102  42  0 2 4
39.3  2.291  40  1 0 10
42.4  2.133  34  0 1 11
74.2  1.278  31  2 2 0
40.4  2.231  29  0 0 12
66.7  1.401  23  0 3 6
73.8  1.283  21  2 0 17
88.1  1.109  20  2 2 12
35.1  2.557  20  1 1 0

No. 3
Starting from a cell relaxed with GGA-PBE, the X-ray diffraction stick pattern of Dy2HoErTl2 was simulated for Cu Kα (λ = 1.5418 Å).

Cell and atoms:
Unit cell a=5.3690 b=5.3690 c=6.6891 alpha=90.00 beta=90.00 gamma=120.00
Space group P-6m2 (No. 187)
Asymmetric unit:
Dy 0.0000 0.0000 0.2504 [2 per cell]
Ho 0.3333 0.6667 0.0000 [1 per cell]
Er 0.6667 0.3333 0.5000 [1 per cell]
Tl 0.3333 0.6667 0.5000 [1 per cell]
Tl 0.6667 0.3333 0.0000 [1 per cell]

Most intense lines, 10° ≤ 2θ ≤ 90°, in order of falling intensity:
two_theta  d (Å)  I_rel  h k l
33.4  2.685  100  1 1 0
33.0  2.715  88  1 0 2
59.4  1.556  33  2 1 2
47.6  1.909  32  2 0 2
65.8  1.419  29  1 1 4
59.7  1.550  19  3 0 0
43.2  2.094  15  1 1 2
85.4  1.137  14  3 0 4
79.7  1.203  14  3 1 2
70.1  1.342  12  2 2 0
26.7  3.345  9  0 0 2
54.9  1.672  8  0 0 4

No. 4
Starting from a cell relaxed with GGA-PBE, the X-ray diffraction stick pattern of NaLuSiPd was simulated for Cu Kα (λ = 1.5418 Å).

Cell and atoms:
Unit cell a=6.7669 b=6.7669 c=6.7669 alpha=90.00 beta=90.00 gamma=90.00
Space group F-43m (No. 216)
Asymmetric unit:
Na 0.0000 0.0000 0.0000 [4 per cell]
Lu 0.0000 0.0000 0.5000 [4 per cell]
Si 0.2500 0.2500 0.7500 [4 per cell]
Pd 0.2500 0.2500 0.2500 [4 per cell]

Most intense lines, 10° ≤ 2θ ≤ 90°, in order of falling intensity:
two_theta  d (Å)  I_rel  h k l
37.6  2.392  100  2 2 0
22.8  3.907  61  1 1 1
67.9  1.381  35  4 2 2
44.4  2.040  32  3 1 1
54.2  1.692  17  4 0 0
59.5  1.552  14  3 3 1
80.2  1.196  11  4 4 0
84.8  1.144  11  5 3 1
72.6  1.302  10  5 1 1
26.3  3.383  4  2 0 0
61.3  1.513  2  4 2 0
46.5  1.953  1  2 2 2